Starting from a DFT-relaxed cell (GGA+U, Alexandria), the PXRD pattern of KMg2NiF8 was simulated for λ = 1.5418 Å (Cu Kα).
Intensities are scaled so that the largest is 100.

Main lines, by angle (2θ from 15° to 90°):
| 2θ/deg | d/Å | I (rel.) |
| --- | --- | --- |
| 18.37 | 4.829 | 33 |
| 21.01 | 4.228 | 67 |
| 23.91 | 3.721 | 100 |
| 28.11 | 3.174 | 57 |
| 29.75 | 3.003 | 35 |
| 29.85 | 2.993 | 34 |
| 33.94 | 2.641 | 29 |
| 38.53 | 2.336 | 31 |
| 38.64 | 2.330 | 31 |
| 48.94 | 1.861 | 25 |

Atomic structure:
```
12
Lattice="4.944 0.000 0.000 0.886 4.881 0.000 1.097 0.943 6.884" Properties=species:S:1:pos:R:3 pbc="T T T"
K 0.000 0.000 0.000
Mg 2.880 2.415 1.572
Mg 4.048 3.409 5.312
Ni 0.549 0.471 3.442
F 2.460 4.395 4.791
F 2.187 4.144 2.102
F 1.927 1.602 3.156
F 1.979 1.652 0.015
F 4.949 4.172 6.868
F 5.001 4.222 3.727
F 4.741 1.680 4.782
F 4.468 1.429 2.093
```